# 1
Diffraction record for Ba9In4. The XRD peak list is theoretical, not measured: it uses a structure optimized by DFT (GGA-PBE) and Cu Kα (λ = 1.5418 Å).
Lines closer than 0.1° are merged.

Crystal structure
Cell: 10.4671 10.4671 10.4671 Å, 94.67 94.67 146.83°
Fractional positions:
Ba 0.0000 0.0000 0.0000
Ba 0.1121 0.3753 0.4874
Ba 0.3134 0.6114 0.9247
Ba 0.3753 0.8879 0.2632
Ba 0.3886 0.3134 0.7020
Ba 0.6114 0.6866 0.2980
Ba 0.6247 0.1121 0.7368
Ba 0.6866 0.3886 0.0753
Ba 0.8879 0.6247 0.5126
In 0.0990 0.7625 0.8616
In 0.2375 0.0990 0.3365
In 0.7625 0.9010 0.6635
In 0.9010 0.2375 0.1384

Most intense lines, 2θ = 10–90°, by angle:
- 24.00 deg, d 3.708, intensity 148
- 25.11 deg, d 3.547, intensity 125
- 27.14 deg, d 3.286, intensity 1000
- 28.13 deg, d 3.172, intensity 151
- 29.93 deg, d 2.985, intensity 555
- 32.17 deg, d 2.782, intensity 138
- 37.30 deg, d 2.411, intensity 118
- 41.53 deg, d 2.175, intensity 118
- 49.18 deg, d 1.853, intensity 134
- 51.42 deg, d 1.777, intensity 167

***

# 2
Diffraction record for EuPaO4. The XRD peak list is theoretical, not measured: it uses a structure optimized by DFT (GGA-PBE) and Cu Kα (λ = 1.5418 Å).
Lines closer than 0.1° are merged.

Crystal structure
Cell: 6.6670 6.6670 6.6670 Å, 131.53 131.53 70.97°
Fractional positions:
Eu 0.3750 0.6250 0.7500
Eu 0.6250 0.3750 0.2500
Pa 0.1250 0.8750 0.2500
Pa 0.8750 0.1250 0.7500
O 0.0000 0.2331 0.2331
O 0.0000 0.7669 0.7669
O 0.2331 0.0000 0.7331
O 0.2331 0.5000 0.2331
O 0.5000 0.2331 0.7331
O 0.5000 0.7669 0.2669
O 0.7669 0.0000 0.2669
O 0.7669 0.5000 0.7669

Most intense lines, 2θ = 10–90°, by angle:
- 28.32 deg, d 3.151, intensity 1000
- 32.72 deg, d 2.737, intensity 233
- 33.00 deg, d 2.714, intensity 114
- 46.95 deg, d 1.935, intensity 171
- 47.16 deg, d 1.927, intensity 338
- 55.74 deg, d 1.649, intensity 310
- 56.11 deg, d 1.639, intensity 152
- 58.58 deg, d 1.576, intensity 100
- 76.10 deg, d 1.251, intensity 126
- 87.41 deg, d 1.116, intensity 112

***

# 3
Diffraction record for Dy. The XRD peak list is theoretical, not measured: it uses a structure optimized by DFT (GGA-PBE) and Cu Kα (λ = 1.5418 Å).
Lines closer than 0.1° are merged.

Crystal structure
Cell: 4.0013 4.0013 4.0013 Å, 90.00 90.00 90.00°
Fractional positions:
Dy 0.0000 0.0000 0.0000
Dy 0.5000 0.5000 0.5000

Most intense lines, 2θ = 10–90°, by angle:
- 31.62 deg, d 2.829, intensity 1000
- 45.33 deg, d 2.001, intensity 186
- 56.32 deg, d 1.634, intensity 392
- 66.04 deg, d 1.415, intensity 121
- 75.07 deg, d 1.265, intensity 168
- 83.74 deg, d 1.155, intensity 43